(1)
Theoretical powder diffraction line list
Compound: Sr3TaPt
Radiation: a wavelength of 1.5418 Å
Structure: DFT lattice parameters and positions (PBE)
No peak broadening, texture or thermal motion is included.

Structural model:
a b c (Å): 5.787 5.787 5.787
angles (deg): 90.00 90.00 90.00
Positions (direct):
Sr1 0.000 0.000 0.500
Sr2 0.000 0.500 0.000
Sr3 0.500 0.000 0.000
Ta1 0.500 0.500 0.500
Pt1 0.000 0.000 0.000

Largest 6 diffraction maxima, in order of rising 2θ, 2θ = 10–90°:
2θ 21.7, intensity 92.9; 2θ 26.7, intensity 31.0; 2θ 30.9, intensity 100.0; 2θ 38.1, intensity 45.0; 2θ 44.3, intensity 74.6; 2θ 73.1, intensity 34.0

(2)
Theoretical powder diffraction line list
Compound: Ta6Sb7
Radiation: a wavelength of 1.5418 Å
Structure: DFT lattice parameters and positions (PBE)
No peak broadening, texture or thermal motion is included.

Structural model:
a b c (Å): 10.858 10.858 10.858
angles (deg): 30.85 30.85 30.85
Positions (direct):
Ta1 0.041 0.041 0.041
Ta2 0.178 0.178 0.178
Ta3 0.333 0.333 0.333
Ta4 0.667 0.667 0.667
Ta5 0.822 0.822 0.822
Ta6 0.959 0.959 0.959
Sb1 0.076 0.580 0.580
Sb2 0.420 0.420 0.924
Sb3 0.420 0.924 0.420
Sb4 0.500 0.500 0.500
Sb5 0.580 0.076 0.580
Sb6 0.580 0.580 0.076
Sb7 0.924 0.420 0.420

Largest 6 diffraction maxima, in order of rising 2θ, 2θ = 10–90°:
2θ 31.0, intensity 58.8; 2θ 35.6, intensity 100.0; 2θ 36.0, intensity 31.1; 2θ 41.5, intensity 32.4; 2θ 43.0, intensity 29.6; 2θ 64.5, intensity 29.3

(3)
Theoretical powder diffraction line list
Compound: NbSe3
Radiation: a wavelength of 1.5418 Å
Structure: DFT lattice parameters and positions (PBE)
No peak broadening, texture or thermal motion is included.

Structural model:
a b c (Å): 5.396 3.495 9.603
angles (deg): 90.00 94.97 90.00
Positions (direct):
Nb1 0.224 0.250 0.336
Nb2 0.776 0.750 0.664
Se1 0.044 0.250 0.820
Se2 0.257 0.750 0.547
Se3 0.445 0.750 0.180
Se4 0.555 0.250 0.820
Se5 0.743 0.250 0.453
Se6 0.956 0.750 0.180

Largest 6 diffraction maxima, in order of rising 2θ, 2θ = 10–90°:
2θ 31.7, intensity 100.0; 2θ 35.5, intensity 31.5; 2θ 36.9, intensity 22.3; 2θ 42.9, intensity 52.0; 2θ 44.2, intensity 24.9; 2θ 46.0, intensity 24.9

(4)
Theoretical powder diffraction line list
Compound: HoH8Ir2Rh
Radiation: a wavelength of 1.5418 Å
Structure: DFT lattice parameters and positions (PBE)
No peak broadening, texture or thermal motion is included.

Structural model:
a b c (Å): 6.208 6.208 6.208
angles (deg): 43.69 43.69 43.69
Positions (direct):
Ho1 0.000 0.000 0.000
H1 0.144 0.403 0.764
H2 0.236 0.856 0.597
H3 0.322 0.322 0.322
H4 0.403 0.764 0.144
H5 0.597 0.236 0.856
H6 0.678 0.678 0.678
H7 0.764 0.144 0.403
H8 0.856 0.597 0.236
Ir1 0.226 0.226 0.226
Ir2 0.774 0.774 0.774
Rh1 0.500 0.500 0.500

Largest 6 diffraction maxima, in order of rising 2θ, 2θ = 10–90°:
2θ 30.9, intensity 100.0; 2θ 34.8, intensity 20.9; 2θ 39.0, intensity 66.3; 2θ 50.5, intensity 25.7; 2θ 64.1, intensity 13.7; 2θ 65.6, intensity 23.4